# 1
The following is a calculated X-ray powder pattern of PuInPt. It was derived from a DFT-relaxed cell (GGA-PBE, Alexandria), using a wavelength of 1.5418 Å.

Principal peaks in the range 2θ from 10° to 90°, by angle:
- 32.4°, 2.761 Å, rel. 100, (3 1 1)
- 35.1°, 2.554 Å, rel. 79, (4 1 0)
- 35.3°, 2.541 Å, rel. 23, (4 0 2)
- 38.3°, 2.349 Å, rel. 29, (3 1 2)
- 40.2°, 2.244 Å, rel. 16, (6 0 0)
- 40.4°, 2.235 Å, rel. 24, (3 0 3)
- 46.2°, 1.966 Å, rel. 27, (0 2 0)
- 59.5°, 1.555 Å, rel. 13, (4 2 2)
- 63.0°, 1.476 Å, rel. 13, (3 2 3)
- 65.0°, 1.435 Å, rel. 18, (7 1 3)

Structure:
```
data_PuInPt
_symmetry_space_group_name_H-M 'P m m a'
_symmetry_Int_Tables_number 51
_symmetry_space_group_name_Hall '-P 2a 2a'
_cell_length_a 13.466
_cell_length_b 3.931
_cell_length_c 7.732
_cell_angle_alpha 90.00
_cell_angle_beta 90.00
_cell_angle_gamma 90.00
loop_
_atom_site_label
_atom_site_type_symbol
_atom_site_fract_x
_atom_site_fract_y
_atom_site_fract_z
_atom_site_occupancy
Pu1 Pu 0.047 0.000 0.224 1
Pu2 Pu 0.250 0.000 0.844 1
In1 In 0.114 0.500 0.565 1
In2 In 0.250 0.500 0.195 1
Pt1 Pt 0.099 0.500 0.935 1
Pt2 Pt 0.250 0.000 0.450 1
```

# 2
The following is a calculated X-ray powder pattern of NpAgHg2O6. It was derived from a DFT-relaxed cell (GGA-PBE, Alexandria), using a wavelength of 1.5418 Å.

Principal peaks in the range 2θ from 10° to 90°, by angle:
- 18.9°, 4.686 Å, rel. 42, (1 -1 0)
- 27.4°, 3.255 Å, rel. 78, (1 1 -1)
- 28.0°, 3.187 Å, rel. 100, (1 -1 1)
- 28.1°, 3.172 Å, rel. 80, (0 1 1)
- 28.8°, 3.105 Å, rel. 94, (1 0 -2)
- 29.4°, 3.036 Å, rel. 54, (1 -2 0)
- 31.1°, 2.876 Å, rel. 37, (0 2 -1)
- 32.9°, 2.721 Å, rel. 51, (-2 1 1)
- 35.3°, 2.542 Å, rel. 33, (-1 2 1)
- 41.9°, 2.156 Å, rel. 36, (2 0 0)

Structure:
```
data_NpAgHg2O6
_symmetry_space_group_name_H-M 'P -1'
_symmetry_Int_Tables_number 2
_symmetry_space_group_name_Hall '-P 1'
_cell_length_a 5.463
_cell_length_b 6.232
_cell_length_c 6.355
_cell_angle_alpha 100.67
_cell_angle_beta 114.21
_cell_angle_gamma 111.91
loop_
_atom_site_label
_atom_site_type_symbol
_atom_site_fract_x
_atom_site_fract_y
_atom_site_fract_z
_atom_site_occupancy
Np1 Np 0.000 0.000 0.000 1
Ag1 Ag 0.000 0.500 0.500 1
Hg1 Hg 0.477 0.658 0.238 1
O1 O 0.101 0.388 0.220 1
O2 O 0.144 0.141 0.780 1
O3 O 0.399 0.081 0.231 1
```

# 3
The following is a calculated X-ray powder pattern of Tb3In2Hg6. It was derived from a DFT-relaxed cell (GGA-PBE, Alexandria), using a wavelength of 1.5418 Å.

Principal peaks in the range 2θ from 10° to 90°, by angle:
- 30.1°, 2.969 Å, rel. 100, (1 1 2)
- 32.4°, 2.759 Å, rel. 21, (1 0 9)
- 34.0°, 2.639 Å, rel. 78, (1 1 6)
- 37.0°, 2.432 Å, rel. 71, (1 0 11)
- 37.1°, 2.425 Å, rel. 67, (1 1 8)
- 42.3°, 2.136 Å, rel. 79, (2 0 0)
- 57.4°, 1.605 Å, rel. 40, (2 1 11)
- 61.4°, 1.510 Å, rel. 26, (2 2 0)
- 71.0°, 1.328 Å, rel. 27, (1 1 22)
- 73.9°, 1.282 Å, rel. 28, (3 0 11)

Structure:
```
data_Tb3In2Hg6
_symmetry_space_group_name_H-M 'I 4/m m m'
_symmetry_Int_Tables_number 139
_symmetry_space_group_name_Hall '-I 4 2'
_cell_length_a 4.271
_cell_length_b 4.271
_cell_length_c 32.534
_cell_angle_alpha 90.00
_cell_angle_beta 90.00
_cell_angle_gamma 90.00
loop_
_atom_site_label
_atom_site_type_symbol
_atom_site_fract_x
_atom_site_fract_y
_atom_site_fract_z
_atom_site_occupancy
Tb1 Tb 0.000 0.000 0.000 1
Tb2 Tb 0.000 0.000 0.175 1
In1 In 0.000 0.000 0.361 1
Hg1 Hg 0.000 0.000 0.270 1
Hg2 Hg 0.000 0.500 0.071 1
```

# 4
The following is a calculated X-ray powder pattern of PmY3S4. It was derived from a DFT-relaxed cell (GGA-PBE, Alexandria), using a wavelength of 1.5418 Å.

Principal peaks in the range 2θ from 10° to 90°, by angle:
- 27.5°, 3.242 Å, rel. 26, (2 2 0)
- 27.8°, 3.206 Å, rel. 25, (0 2 1)
- 32.1°, 2.792 Å, rel. 100, (2 0 1)
- 45.6°, 1.990 Å, rel. 12, (4 0 0)
- 46.0°, 1.974 Å, rel. 47, (2 4 1)
- 46.4°, 1.957 Å, rel. 11, (0 0 2)
- 56.8°, 1.621 Å, rel. 12, (4 4 0)
- 57.5°, 1.603 Å, rel. 12, (0 4 2)
- 67.0°, 1.396 Å, rel. 11, (4 0 2)
- 76.3°, 1.249 Å, rel. 20, (4 4 2)

Structure:
```
data_PmY3S4
_symmetry_space_group_name_H-M 'C m m m'
_symmetry_Int_Tables_number 65
_symmetry_space_group_name_Hall '-C 2 2'
_cell_length_a 7.962
_cell_length_b 11.173
_cell_length_c 3.914
_cell_angle_alpha 90.00
_cell_angle_beta 90.00
_cell_angle_gamma 90.00
loop_
_atom_site_label
_atom_site_type_symbol
_atom_site_fract_x
_atom_site_fract_y
_atom_site_fract_z
_atom_site_occupancy
Pm1 Pm 0.000 0.000 0.000 1
Y1 Y 0.000 0.500 0.000 1
Y2 Y 0.250 0.250 0.500 1
S1 S 0.000 0.254 0.000 1
S2 S 0.242 0.500 0.500 1
```

# 5
The following is a calculated X-ray powder pattern of AcSb. It was derived from a DFT-relaxed cell (GGA-PBE, Alexandria), using a wavelength of 1.5418 Å.

Principal peaks in the range 2θ from 10° to 90°, by angle:
- 22.7°, 3.920 Å, rel. 15, (1 1 1)
- 26.3°, 3.395 Å, rel. 100, (2 0 0)
- 37.5°, 2.401 Å, rel. 79, (2 2 0)
- 44.2°, 2.047 Å, rel. 9, (3 1 1)
- 46.3°, 1.960 Å, rel. 29, (2 2 2)
- 54.0°, 1.697 Å, rel. 14, (4 0 0)
- 61.0°, 1.518 Å, rel. 39, (4 2 0)
- 67.6°, 1.386 Å, rel. 29, (4 2 2)
- 79.9°, 1.200 Å, rel. 9, (4 4 0)
- 85.9°, 1.132 Å, rel. 19, (6 0 0)

Structure:
```
data_AcSb
_symmetry_space_group_name_H-M 'F m -3 m'
_symmetry_Int_Tables_number 225
_symmetry_space_group_name_Hall '-F 4 2 3'
_cell_length_a 6.790
_cell_length_b 6.790
_cell_length_c 6.790
_cell_angle_alpha 90.00
_cell_angle_beta 90.00
_cell_angle_gamma 90.00
loop_
_atom_site_label
_atom_site_type_symbol
_atom_site_fract_x
_atom_site_fract_y
_atom_site_fract_z
_atom_site_occupancy
Ac1 Ac 0.000 0.000 0.000 1
Sb1 Sb 0.000 0.000 0.500 1
```

# 6
The following is a calculated X-ray powder pattern of Pm6MgTl. It was derived from a DFT-relaxed cell (GGA-PBE, Alexandria), using a wavelength of 1.5418 Å.

Principal peaks in the range 2θ from 10° to 90°, by angle:
- 17.8°, 4.977 Å, rel. 9, (1 0 1)
- 30.9°, 2.895 Å, rel. 100, (1 1 4)
- 34.8°, 2.578 Å, rel. 38, (2 0 0)
- 37.8°, 2.382 Å, rel. 13, (0 0 8)
- 50.0°, 1.823 Å, rel. 14, (2 2 0)
- 52.3°, 1.749 Å, rel. 21, (2 0 8)
- 60.0°, 1.543 Å, rel. 30, (3 1 4)
- 63.9°, 1.456 Å, rel. 9, (1 1 12)
- 64.4°, 1.448 Å, rel. 11, (2 2 8)
- 85.3°, 1.138 Å, rel. 9, (3 1 12)

Structure:
```
data_Pm6MgTl
_symmetry_space_group_name_H-M 'I 4/m m m'
_symmetry_Int_Tables_number 139
_symmetry_space_group_name_Hall '-I 4 2'
_cell_length_a 5.156
_cell_length_b 5.156
_cell_length_c 19.055
_cell_angle_alpha 90.00
_cell_angle_beta 90.00
_cell_angle_gamma 90.00
loop_
_atom_site_label
_atom_site_type_symbol
_atom_site_fract_x
_atom_site_fract_y
_atom_site_fract_z
_atom_site_occupancy
Pm1 Pm 0.000 0.000 0.248 1
Pm2 Pm 0.000 0.500 0.115 1
Mg1 Mg 0.000 0.000 0.000 1
Tl1 Tl 0.000 0.000 0.500 1
```

# 7
The following is a calculated X-ray powder pattern of Tb4AgPd12. It was derived from a DFT-relaxed cell (GGA-PBE, Alexandria), using a wavelength of 1.5418 Å.

Principal peaks in the range 2θ from 10° to 90°, by angle:
- 29.5°, 3.024 Å, rel. 14, (2 2 0)
- 36.4°, 2.469 Å, rel. 100, (2 2 2)
- 39.4°, 2.286 Å, rel. 12, (3 2 1)
- 42.3°, 2.138 Å, rel. 61, (4 0 0)
- 45.0°, 2.016 Å, rel. 8, (3 3 0)
- 50.0°, 1.824 Å, rel. 11, (3 3 2)
- 61.3°, 1.512 Å, rel. 34, (4 4 0)
- 73.4°, 1.289 Å, rel. 27, (6 2 2)
- 77.3°, 1.235 Å, rel. 9, (4 4 4)
- 83.0°, 1.164 Å, rel. 7, (6 3 3)

Structure:
```
data_Tb4AgPd12
_symmetry_space_group_name_H-M 'I m -3 m'
_symmetry_Int_Tables_number 229
_symmetry_space_group_name_Hall '-I 4 2 3'
_cell_length_a 8.553
_cell_length_b 8.553
_cell_length_c 8.553
_cell_angle_alpha 90.00
_cell_angle_beta 90.00
_cell_angle_gamma 90.00
loop_
_atom_site_label
_atom_site_type_symbol
_atom_site_fract_x
_atom_site_fract_y
_atom_site_fract_z
_atom_site_occupancy
Tb1 Tb 0.250 0.250 0.250 1
Ag1 Ag 0.000 0.000 0.000 1
Pd1 Pd 0.000 0.000 0.302 1
Pd2 Pd 0.000 0.250 0.500 1
```

# 8
The following is a calculated X-ray powder pattern of Ti6OsPd2. It was derived from a DFT-relaxed cell (GGA-PBE, Alexandria), using a wavelength of 1.5418 Å.

Principal peaks in the range 2θ from 10° to 90°, by angle:
- 25.3°, 3.516 Å, rel. 100, (3 1 0)
- 41.9°, 2.155 Å, rel. 56, (2 0 -2)
- 42.0°, 2.151 Å, rel. 55, (4 2 -1)
- 49.6°, 1.838 Å, rel. 24, (1 1 2)
- 49.7°, 1.834 Å, rel. 24, (5 1 1)
- 60.8°, 1.523 Å, rel. 12, (4 0 2)
- 66.9°, 1.399 Å, rel. 6, (1 3 2)
- 76.5°, 1.245 Å, rel. 12, (0 2 3)
- 76.7°, 1.242 Å, rel. 11, (6 4 0)
- 82.3°, 1.172 Å, rel. 7, (3 5 0)

Structure:
```
data_Ti6OsPd2
_symmetry_space_group_name_H-M 'C 1 2/m 1'
_symmetry_Int_Tables_number 12
_symmetry_space_group_name_Hall '-C 2y'
_cell_length_a 13.583
_cell_length_b 6.090
_cell_length_c 4.315
_cell_angle_alpha 90.00
_cell_angle_beta 108.41
_cell_angle_gamma 90.00
loop_
_atom_site_label
_atom_site_type_symbol
_atom_site_fract_x
_atom_site_fract_y
_atom_site_fract_z
_atom_site_occupancy
Ti1 Ti 0.000 0.241 0.000 1
Ti2 Ti 0.162 0.246 0.662 1
Os1 Os 0.000 0.000 0.500 1
Pd1 Pd 0.168 0.500 0.168 1
```

# 9
The following is a calculated X-ray powder pattern of BaBe2Te. It was derived from a DFT-relaxed cell (GGA-PBE, Alexandria), using a wavelength of 1.5418 Å.

Principal peaks in the range 2θ from 10° to 90°, by angle:
- 18.7°, 4.752 Å, rel. 87, (0 1 0)
- 26.3°, 3.383 Å, rel. 86, (1 0 1)
- 32.5°, 2.756 Å, rel. 100, (1 1 1)
- 34.8°, 2.578 Å, rel. 23, (0 0 2)
- 37.9°, 2.376 Å, rel. 18, (0 2 0)
- 39.8°, 2.266 Å, rel. 26, (0 1 2)
- 44.7°, 2.027 Å, rel. 22, (2 1 0)
- 46.7°, 1.944 Å, rel. 36, (1 2 1)
- 57.9°, 1.593 Å, rel. 21, (2 1 2)
- 65.0°, 1.435 Å, rel. 20, (3 0 1)

Structure:
```
data_BaBe2Te
_symmetry_space_group_name_H-M 'P m m m'
_symmetry_Int_Tables_number 47
_symmetry_space_group_name_Hall '-P 2 2'
_cell_length_a 4.483
_cell_length_b 4.752
_cell_length_c 5.155
_cell_angle_alpha 90.00
_cell_angle_beta 90.00
_cell_angle_gamma 90.00
loop_
_atom_site_label
_atom_site_type_symbol
_atom_site_fract_x
_atom_site_fract_y
_atom_site_fract_z
_atom_site_occupancy
Ba1 Ba 0.000 0.000 0.000 1
Be1 Be 0.246 0.500 0.500 1
Te1 Te 0.500 0.000 0.500 1
```

# 10
The following is a calculated X-ray powder pattern of Li4NpAl15. It was derived from a DFT-relaxed cell (GGA-PBE, Alexandria), using a wavelength of 1.5418 Å.

Principal peaks in the range 2θ from 10° to 90°, by angle:
- 13.0°, 6.833 Å, rel. 36, (0 0 3)
- 22.3°, 3.988 Å, rel. 48, (1 0 1)
- 23.5°, 3.780 Å, rel. 41, (1 0 2)
- 25.5°, 3.494 Å, rel. 34, (1 0 3)
- 28.0°, 3.185 Å, rel. 25, (1 0 4)
- 31.4°, 2.847 Å, rel. 21, (1 1 1)
- 38.2°, 2.354 Å, rel. 100, (1 1 5)
- 44.2°, 2.050 Å, rel. 22, (0 0 10)
- 44.6°, 2.033 Å, rel. 33, (2 0 0)
- 77.9°, 1.227 Å, rel. 25, (3 1 5)

Structure:
```
data_Li4NpAl15
_symmetry_space_group_name_H-M 'P 4/m m m'
_symmetry_Int_Tables_number 123
_symmetry_space_group_name_Hall '-P 4 2'
_cell_length_a 4.066
_cell_length_b 4.066
_cell_length_c 20.500
_cell_angle_alpha 90.00
_cell_angle_beta 90.00
_cell_angle_gamma 90.00
loop_
_atom_site_label
_atom_site_type_symbol
_atom_site_fract_x
_atom_site_fract_y
_atom_site_fract_z
_atom_site_occupancy
Li1 Li 0.000 0.000 0.099 1
Li2 Li 0.000 0.000 0.296 1
Np1 Np 0.000 0.000 0.500 1
Al1 Al 0.000 0.500 0.000 1
Al2 Al 0.000 0.500 0.196 1
Al3 Al 0.000 0.500 0.392 1
Al4 Al 0.500 0.500 0.097 1
Al5 Al 0.500 0.500 0.294 1
Al6 Al 0.500 0.500 0.500 1
```

# 11
The following is a calculated X-ray powder pattern of MgCr2Ir. It was derived from a DFT-relaxed cell (GGA-PBE, Alexandria), using a wavelength of 1.5418 Å.

Principal peaks in the range 2θ from 10° to 90°, by angle:
- 14.1°, 6.265 Å, rel. 72, (0 0 1)
- 28.5°, 3.133 Å, rel. 17, (0 0 2)
- 29.7°, 3.011 Å, rel. 34, (1 0 0)
- 33.0°, 2.714 Å, rel. 39, (1 0 1)
- 41.6°, 2.171 Å, rel. 100, (1 0 2)
- 42.5°, 2.129 Å, rel. 50, (1 1 0)
- 45.0°, 2.016 Å, rel. 17, (1 1 1)
- 53.4°, 1.716 Å, rel. 14, (1 0 3)
- 61.6°, 1.506 Å, rel. 16, (2 0 0)
- 77.1°, 1.237 Å, rel. 31, (2 1 2)

Structure:
```
data_MgCr2Ir
_symmetry_space_group_name_H-M 'P 4 m m'
_symmetry_Int_Tables_number 99
_symmetry_space_group_name_Hall 'P 4 -2'
_cell_length_a 3.011
_cell_length_b 3.011
_cell_length_c 6.265
_cell_angle_alpha 90.00
_cell_angle_beta 90.00
_cell_angle_gamma 90.00
loop_
_atom_site_label
_atom_site_type_symbol
_atom_site_fract_x
_atom_site_fract_y
_atom_site_fract_z
_atom_site_occupancy
Mg1 Mg 0.000 0.000 0.000 1
Cr1 Cr 0.000 0.000 0.485 1
Cr2 Cr 0.500 0.500 0.296 1
Ir1 Ir 0.500 0.500 0.741 1
```

Question: What is the formula in the eleventh record?
Answer: MgCr2Ir

Copy entry 9 word for word.
The following is a calculated X-ray powder pattern of BaBe2Te. It was derived from a DFT-relaxed cell (GGA-PBE, Alexandria), using a wavelength of 1.5418 Å.

Principal peaks in the range 2θ from 10° to 90°, by angle:
- 18.7°, 4.752 Å, rel. 87, (0 1 0)
- 26.3°, 3.383 Å, rel. 86, (1 0 1)
- 32.5°, 2.756 Å, rel. 100, (1 1 1)
- 34.8°, 2.578 Å, rel. 23, (0 0 2)
- 37.9°, 2.376 Å, rel. 18, (0 2 0)
- 39.8°, 2.266 Å, rel. 26, (0 1 2)
- 44.7°, 2.027 Å, rel. 22, (2 1 0)
- 46.7°, 1.944 Å, rel. 36, (1 2 1)
- 57.9°, 1.593 Å, rel. 21, (2 1 2)
- 65.0°, 1.435 Å, rel. 20, (3 0 1)

Structure:
```
data_BaBe2Te
_symmetry_space_group_name_H-M 'P m m m'
_symmetry_Int_Tables_number 47
_symmetry_space_group_name_Hall '-P 2 2'
_cell_length_a 4.483
_cell_length_b 4.752
_cell_length_c 5.155
_cell_angle_alpha 90.00
_cell_angle_beta 90.00
_cell_angle_gamma 90.00
loop_
_atom_site_label
_atom_site_type_symbol
_atom_site_fract_x
_atom_site_fract_y
_atom_site_fract_z
_atom_site_occupancy
Ba1 Ba 0.000 0.000 0.000 1
Be1 Be 0.246 0.500 0.500 1
Te1 Te 0.500 0.000 0.500 1
```